Record 1
The following is a theoretical PXRD pattern of RbEr2CuTe3S. It was derived from a GGA-PBE-relaxed structure, using Cu Kα (weighted mean of Kα1 and Kα2).
Peak positions follow from Bragg's law for the DFT cell and can differ from measured ones.

Principal peaks in the range 2θ from 5° to 70°, low angle first:
hkl  2θ (°)  I/Imax
0 2 1  13.30  48
0 2 4  26.16  37
1 3 1  28.50  100
1 3 2  30.26  71
1 3 3  33.01  37
0 6 3  40.70  62
1 5 3  41.29  54
2 0 0  42.97  43

Crystal structure
Unit cell a=4.210 b=14.768 c=15.359 alpha=90.00 beta=90.00 gamma=90.00
Space group Cmcm (No. 63)
Symmetry-distinct sites (fractional):
1 Rb 0.000 0.126 0.250 [4 per cell]
2 Er 0.000 0.383 0.060 [8 per cell]
3 Cu 0.000 0.161 0.750 [4 per cell]
4 Te 0.000 0.257 0.605 [8 per cell]
5 Te 0.000 0.442 0.250 [4 per cell]
6 S 0.000 0.000 0.000 [4 per cell]

Record 2
The following is a theoretical PXRD pattern of Nd2Sm2C2I2Br2Cl. It was derived from a GGA-PBE-relaxed structure, using Cu Kα (weighted mean of Kα1 and Kα2).
Peak positions follow from Bragg's law for the DFT cell and can differ from measured ones.

Principal peaks in the range 2θ from 5° to 70°, low angle first:
hkl  2θ (°)  I/Imax
0 0 1  11.03  29
3 1 -1  27.62  26
6 0 0  27.93  72
3 1 1  30.01  28
1 1 -2  31.44  100
7 1 -2  42.43  36
5 1 2  42.66  40
6 2 0  54.71  22

Crystal structure
Unit cell a=19.635 b=3.943 c=8.220 alpha=90.00 beta=102.51 gamma=90.00
Space group C2/m (No. 12)
Symmetry-distinct sites (fractional):
1 Nd 0.002 0.000 0.294 [4 per cell]
2 Sm 0.153 0.500 0.587 [4 per cell]
3 C 0.037 0.500 0.521 [4 per cell]
4 I 0.163 0.000 0.880 [4 per cell]
5 Br 0.170 0.000 0.331 [4 per cell]
6 Cl 0.000 0.500 0.000 [2 per cell]

Record 3
The following is a theoretical PXRD pattern of GdZr. It was derived from a GGA-PBE-relaxed structure, using Cu Kα (weighted mean of Kα1 and Kα2).
Peak positions follow from Bragg's law for the DFT cell and can differ from measured ones.

Principal peaks in the range 2θ from 5° to 70°, low angle first:
hkl  2θ (°)  I/Imax
0 4 1  29.80  24
2 0 0  32.76  41
1 0 2  33.85  51
1 4 1  34.11  100
2 4 1  44.87  15
0 4 3  52.53  15
3 4 1  59.35  20
2 4 3  63.31  17

Crystal structure
Unit cell a=5.467 b=13.804 c=6.054 alpha=90.00 beta=90.00 gamma=90.00
Space group Pmm2 (No. 25)
Symmetry-distinct sites (fractional):
1 Gd 0.000 0.000 0.000 [1 per cell]
2 Gd 0.000 0.143 0.459 [2 per cell]
3 Gd 0.000 0.500 0.017 [1 per cell]
4 Gd 0.500 0.000 0.625 [1 per cell]
5 Gd 0.500 0.356 0.179 [2 per cell]
6 Gd 0.500 0.500 0.642 [1 per cell]
7 Zr 0.000 0.245 0.962 [2 per cell]
8 Zr 0.000 0.374 0.520 [2 per cell]
9 Zr 0.500 0.123 0.124 [2 per cell]
10 Zr 0.500 0.256 0.677 [2 per cell]

Record 4
The following is a theoretical PXRD pattern of Te2Pd7. It was derived from a GGA-PBE-relaxed structure, using Cu Kα (weighted mean of Kα1 and Kα2).
Peak positions follow from Bragg's law for the DFT cell and can differ from measured ones.

Principal peaks in the range 2θ from 5° to 70°, low angle first:
hkl  2θ (°)  I/Imax
0 0 2  6.11  100
1 0 4  36.83  64
1 0 5  38.03  60
0 0 13  40.53  16
0 0 14  43.80  13
0 1 9  44.91  53
1 1 0  62.02  26
1 0 18  68.70  14

Crystal structure
Unit cell a=2.9937 b=2.9937 c=28.9378 alpha=90.00 beta=90.00 gamma=120.00
Space group P-3m1 (No. 164)
Symmetry-distinct sites (fractional):
1 Te 0.3333 0.6667 0.2035 [2 per cell]
2 Pd 0.0000 0.0000 0.2778 [2 per cell]
3 Pd 0.0000 0.0000 0.5000 [1 per cell]
4 Pd 0.3333 0.6667 0.4271 [2 per cell]
5 Pd 0.3333 0.6667 0.6469 [2 per cell]

Record 5
The following is a theoretical PXRD pattern of Fe2H6Se. It was derived from a GGA-PBE-relaxed structure, using Cu Kα (weighted mean of Kα1 and Kα2).
Peak positions follow from Bragg's law for the DFT cell and can differ from measured ones.

Principal peaks in the range 2θ from 5° to 70°, low angle first:
hkl  2θ (°)  I/Imax
0 0 1  12.52  18
1 0 0  33.10  100
0 1 1  34.76  75
0 0 3  38.18  66
0 1 2  41.39  72
1 1 1  48.76  57
1 0 3  51.41  55
1 1 2  53.99  64

Crystal structure
Unit cell a=2.706 b=2.772 c=7.071 alpha=90.00 beta=90.00 gamma=90.00
Space group Pmmm (No. 47)
Symmetry-distinct sites (fractional):
1 Fe 0.000 0.000 0.183 [2 per cell]
2 H 0.000 0.500 0.000 [1 per cell]
3 H 0.500 0.000 0.000 [1 per cell]
4 H 0.500 0.000 0.307 [2 per cell]
5 H 0.500 0.500 0.178 [2 per cell]
6 Se 0.000 0.500 0.500 [1 per cell]

Record 6
The following is a theoretical PXRD pattern of IrF8. It was derived from a GGA-PBE-relaxed structure, using Cu Kα (weighted mean of Kα1 and Kα2).
Peak positions follow from Bragg's law for the DFT cell and can differ from measured ones.

Principal peaks in the range 2θ from 5° to 70°, low angle first:
hkl  2θ (°)  I/Imax
1 0 1  20.79  100
1 1 0  27.35  45
0 1 2  31.65  31
0 2 1  34.61  23
3 -1 1  44.66  21
3 0 0  48.35  24
2 -1 3  50.40  31
0 2 4  66.14  17

Crystal structure
Unit cell a=6.5212 b=6.5212 c=6.5305 alpha=90.00 beta=90.00 gamma=120.00
Space group R-3 (No. 148, hexagonal axes)
Symmetry-distinct sites (fractional):
1 Ir 0.0000 0.0000 0.0000 [3 per cell]
2 F 0.0000 0.0000 0.2956 [6 per cell]
3 F 0.0317 0.4125 0.7625 [18 per cell]

Record 7
The following is a theoretical PXRD pattern of Dy3ZrC2S2. It was derived from a GGA-PBE-relaxed structure, using Cu Kα (weighted mean of Kα1 and Kα2).
Peak positions follow from Bragg's law for the DFT cell and can differ from measured ones.

Principal peaks in the range 2θ from 5° to 70°, low angle first:
hkl  2θ (°)  I/Imax
0 0 4  27.95  19
1 0 0  28.47  31
1 0 1  29.33  38
0 1 3  35.56  100
1 0 4  40.32  15
1 1 0  50.41  29
0 1 7  58.59  33
2 0 3  63.21  18

Crystal structure
Unit cell a=3.6203 b=3.6203 c=12.7681 alpha=90.00 beta=90.00 gamma=120.00
Space group P3m1 (No. 156)
Symmetry-distinct sites (fractional):
1 Dy 0.0000 0.0000 0.0000 [1 per cell]
2 Dy 0.0000 0.0000 0.2952 [1 per cell]
3 Dy 0.3333 0.6667 0.7887 [1 per cell]
4 Zr 0.3333 0.6667 0.4980 [1 per cell]
5 C 0.6667 0.3333 0.4076 [1 per cell]
6 C 0.6667 0.3333 0.8925 [1 per cell]
7 S 0.0000 0.0000 0.6341 [1 per cell]
8 S 0.3333 0.6667 0.1492 [1 per cell]

Record 8
The following is a theoretical PXRD pattern of Al4Re9. It was derived from a GGA-PBE-relaxed structure, using Cu Kα (weighted mean of Kα1 and Kα2).
Peak positions follow from Bragg's law for the DFT cell and can differ from measured ones.

Principal peaks in the range 2θ from 5° to 70°, low angle first:
hkl  2θ (°)  I/Imax
0 0 6  19.57  28
1 0 1  20.38  100
0 0 12  39.74  45
1 1 6  40.61  92
0 1 11  41.85  26
2 0 5  44.29  74
0 2 7  47.37  50
0 3 6  66.86  22

Crystal structure
Unit cell a=5.0962 b=5.0962 c=27.2189 alpha=90.00 beta=90.00 gamma=120.00
Space group R-3m (No. 166, hexagonal axes)
Symmetry-distinct sites (fractional):
1 Al 0.0000 0.0000 0.0474 [6 per cell]
2 Al 0.0000 0.0000 0.1516 [6 per cell]
3 Re 0.0000 0.0000 0.3357 [6 per cell]
4 Re 0.0000 0.0000 0.5000 [3 per cell]
5 Re 0.0076 0.5038 0.9127 [18 per cell]